No. 1
This entry pairs a crystal structure of Ca3TlCd8 with its theoretical powder diffractogram. Radiation: Cu Kα (weighted mean of Kα1 and Kα2). Structure: a cell relaxed with GGA-PBE.

Principal peaks in the range 10 to 90 degrees two-theta, by angle:
19.27°, I 30
32.56°, I 56
34.99°, I 100
35.53°, I 100
39.12°, I 33
59.31°, I 31

Structural model:
```
Ca3TlCd8
1.0
6.044 0.000 0.000
-3.022 5.234 0.000
0.000 0.000 9.696
Ca Tl Cd
3 1 8
direct
0.000 0.000 0.000 Ca
0.000 0.000 0.382 Ca
0.333 0.667 0.863 Ca
0.333 0.667 0.493 Tl
0.008 0.504 0.182 Cd
0.325 0.163 0.688 Cd
0.496 0.504 0.182 Cd
0.496 0.992 0.182 Cd
0.667 0.333 0.434 Cd
0.667 0.333 0.932 Cd
0.837 0.163 0.688 Cd
0.837 0.675 0.688 Cd
```


No. 2
This entry pairs a crystal structure of TbGaTe2 with its theoretical powder diffractogram. Radiation: Cu Kα (weighted mean of Kα1 and Kα2). Structure: a cell relaxed with GGA-PBE.

Principal peaks in the range 10 to 90 degrees two-theta, by angle:
25.99°, I 74
32.90°, I 100
40.89°, I 50
53.44°, I 25
63.92°, I 24
69.41°, I 23

Structural model:
```
TbGaTe2
1.0
4.414 0.000 0.000
-2.207 3.823 0.000
0.000 0.000 7.753
Tb Ga Te
1 1 2
direct
0.000 0.000 0.000 Tb
0.000 0.000 0.500 Ga
0.333 0.667 0.768 Te
0.667 0.333 0.232 Te
```


No. 3
This entry pairs a crystal structure of AlFeH with its theoretical powder diffractogram. Radiation: Cu Kα (weighted mean of Kα1 and Kα2). Structure: a cell relaxed with GGA-PBE.

Principal peaks in the range 10 to 90 degrees two-theta, by angle:
14.81°, I 100
40.01°, I 32
41.08°, I 20
43.26°, I 27
47.28°, I 23
48.22°, I 21

Structural model:
```
AlFeH
1.0
-5.982 5.982 3.353
5.982 -5.982 3.353
5.982 5.982 -3.353
Al Fe H
16 16 16
direct
0.027 0.075 0.707 Al
0.133 0.680 0.207 Al
0.180 0.473 0.548 Al
0.190 0.221 0.049 Al
0.279 0.829 0.969 Al
0.329 0.859 0.549 Al
0.359 0.310 0.531 Al
0.425 0.633 0.952 Al
0.575 0.367 0.048 Al
0.641 0.690 0.469 Al
0.671 0.141 0.451 Al
0.721 0.171 0.031 Al
0.810 0.779 0.951 Al
0.820 0.527 0.452 Al
0.867 0.320 0.793 Al
0.973 0.925 0.293 Al
0.063 0.639 0.694 Fe
0.131 0.437 0.076 Fe
0.139 0.945 0.576 Fe
0.166 0.979 0.875 Fe
0.209 0.334 0.313 Fe
0.396 0.709 0.375 Fe
0.445 0.369 0.806 Fe
0.479 0.104 0.813 Fe
0.521 0.896 0.187 Fe
0.555 0.631 0.194 Fe
0.604 0.291 0.625 Fe
0.791 0.666 0.687 Fe
0.834 0.021 0.125 Fe
0.861 0.055 0.424 Fe
0.869 0.563 0.924 Fe
0.937 0.361 0.306 Fe
0.045 0.300 0.889 H
0.088 0.844 0.389 H
0.200 0.588 0.745 H
0.277 0.069 0.060 H
0.283 0.223 0.292 H
0.344 0.455 0.755 H
0.431 0.991 0.208 H
0.491 0.783 0.560 H
0.509 0.217 0.440 H
0.569 0.009 0.792 H
0.656 0.545 0.245 H
0.717 0.777 0.708 H
0.723 0.931 0.940 H
0.800 0.412 0.255 H
0.912 0.156 0.611 H
0.955 0.700 0.111 H
```


No. 4
This entry pairs a crystal structure of Tm2MgZn16 with its theoretical powder diffractogram. Radiation: Cu Kα (weighted mean of Kα1 and Kα2). Structure: a cell relaxed with GGA-PBE.

Principal peaks in the range 10 to 90 degrees two-theta, by angle:
28.39°, I 29
34.61°, I 35
40.18°, I 51
40.38°, I 100
40.98°, I 34
45.35°, I 24

Structural model:
```
Tm2MgZn16
1.0
4.489 2.592 4.405
-4.489 2.592 4.405
0.000 -5.183 4.405
Tm Mg Zn
2 1 16
direct
0.000 0.000 0.000 Tm
0.321 0.321 0.321 Tm
0.568 0.568 0.568 Mg
0.014 0.014 0.496 Zn
0.014 0.496 0.014 Zn
0.157 0.662 0.662 Zn
0.307 0.307 0.821 Zn
0.307 0.821 0.307 Zn
0.360 0.661 0.960 Zn
0.360 0.960 0.661 Zn
0.496 0.014 0.014 Zn
0.661 0.360 0.960 Zn
0.661 0.960 0.360 Zn
0.662 0.157 0.662 Zn
0.662 0.662 0.157 Zn
0.773 0.773 0.773 Zn
0.821 0.307 0.307 Zn
0.960 0.360 0.661 Zn
0.960 0.661 0.360 Zn
```


No. 5
This entry pairs a crystal structure of AcAgAs2Pd5 with its theoretical powder diffractogram. Radiation: Cu Kα (weighted mean of Kα1 and Kα2). Structure: a cell relaxed with GGA-PBE.

Principal peaks in the range 10 to 90 degrees two-theta, by angle:
29.52°, I 21
35.23°, I 100
38.13°, I 65
55.02°, I 22
61.28°, I 18
67.04°, I 30

Structural model:
```
AcAgAs2Pd5
1.0
4.721 0.000 0.000
0.000 4.721 0.000
0.000 0.000 7.883
Ac Ag As Pd
1 1 2 5
direct
0.000 0.000 0.000 Ac
0.000 0.000 0.500 Ag
0.500 0.500 0.339 As
0.500 0.500 0.661 As
0.000 0.500 0.252 Pd
0.000 0.500 0.748 Pd
0.500 0.000 0.252 Pd
0.500 0.000 0.748 Pd
0.500 0.500 0.000 Pd
```


No. 6
This entry pairs a crystal structure of AcLaTb2Nd5 with its theoretical powder diffractogram. Radiation: Cu Kα (weighted mean of Kα1 and Kα2). Structure: a cell relaxed with GGA-PBE.

Principal peaks in the range 10 to 90 degrees two-theta, by angle:
28.82°, I 54
30.51°, I 100
31.42°, I 73
31.62°, I 98
32.24°, I 64
43.15°, I 36

Structural model:
```
AcLaTb2Nd5
1.0
2.847 -12.127 0.000
2.847 12.127 0.000
0.000 0.000 9.624
Ac La Tb Nd
2 2 4 10
direct
0.103 0.897 0.500 Ac
0.897 0.103 0.000 Ac
0.267 0.733 0.109 La
0.733 0.267 0.609 La
0.330 0.670 0.744 Tb
0.388 0.612 0.366 Tb
0.612 0.388 0.866 Tb
0.670 0.330 0.244 Tb
0.025 0.975 0.826 Nd
0.103 0.897 0.108 Nd
0.188 0.812 0.805 Nd
0.241 0.759 0.430 Nd
0.494 0.506 0.603 Nd
0.506 0.494 0.103 Nd
0.759 0.241 0.930 Nd
0.812 0.188 0.305 Nd
0.897 0.103 0.608 Nd
0.975 0.025 0.326 Nd
```


No. 7
This entry pairs a crystal structure of ReAg2Au with its theoretical powder diffractogram. Radiation: Cu Kα (weighted mean of Kα1 and Kα2). Structure: a cell relaxed with GGA-PBE.

Principal peaks in the range 10 to 90 degrees two-theta, by angle:
35.50°, I 39
36.06°, I 38
41.71°, I 100
51.50°, I 27
67.99°, I 23
68.69°, I 28

Structural model:
```
ReAg2Au
1.0
2.733 0.000 0.000
0.000 4.982 0.000
0.000 0.000 5.058
Re Ag Au
1 2 1
direct
0.000 0.000 0.000 Re
0.000 0.500 0.500 Ag
0.500 0.000 0.500 Ag
0.500 0.500 0.000 Au
```


No. 8
This entry pairs a crystal structure of Li2In5SnPb with its theoretical powder diffractogram. Radiation: Cu Kα (weighted mean of Kα1 and Kα2). Structure: a cell relaxed with GGA-PBE.

Principal peaks in the range 10 to 90 degrees two-theta, by angle:
26.54°, I 18
28.70°, I 20
32.12°, I 100
35.99°, I 29
39.69°, I 19
54.65°, I 17

Structural model:
```
Li2In5SnPb
1.0
-3.529 3.529 9.083
3.529 -3.529 9.083
3.529 3.529 -9.083
Li In Sn Pb
4 10 2 2
direct
0.131 0.631 0.762 Li
0.369 0.131 0.500 Li
0.631 0.869 0.500 Li
0.869 0.369 0.238 Li
0.000 0.000 0.000 In
0.071 0.191 0.500 In
0.191 0.691 0.120 In
0.309 0.429 0.500 In
0.429 0.929 0.120 In
0.500 0.500 0.000 In
0.571 0.071 0.880 In
0.691 0.571 0.500 In
0.809 0.309 0.880 In
0.929 0.809 0.500 In
0.250 0.750 0.500 Sn
0.750 0.250 0.500 Sn
0.250 0.250 0.000 Pb
0.750 0.750 0.000 Pb
```


Which formula does entry 2 have?
TbGaTe2


What did the second record say?
This entry pairs a crystal structure of TbGaTe2 with its theoretical powder diffractogram. Radiation: Cu Kα (weighted mean of Kα1 and Kα2). Structure: a cell relaxed with GGA-PBE.

Principal peaks in the range 10 to 90 degrees two-theta, by angle:
25.99°, I 74
32.90°, I 100
40.89°, I 50
53.44°, I 25
63.92°, I 24
69.41°, I 23

Structural model:
```
TbGaTe2
1.0
4.414 0.000 0.000
-2.207 3.823 0.000
0.000 0.000 7.753
Tb Ga Te
1 1 2
direct
0.000 0.000 0.000 Tb
0.000 0.000 0.500 Ga
0.333 0.667 0.768 Te
0.667 0.333 0.232 Te
```